For SrP, DFT lattice parameters and positions (PBE) gives the calculated powder diffractogram in this record (Cu Kα (weighted mean of Kα1 and Kα2)).
Kinematic intensities with the Lorentz-polarization factor, no thermal factor.

Most intense lines, 10 to 90 degrees two-theta, low angle first:
d [Å]	two_theta	I_rel
3.366	26.5	100
3.030	29.5	18
2.424	37.1	33
2.338	38.5	41
1.920	47.3	17
1.850	49.2	13
1.805	50.6	17
1.683	54.5	10
1.484	62.6	12
1.366	68.7	10

```
data_SrP
_symmetry_space_group_name_H-M 'P -6 2 m'
_symmetry_Int_Tables_number 189
_symmetry_space_group_name_Hall 'P -6 -2'
_cell_length_a 8.1004
_cell_length_b 8.1004
_cell_length_c 6.0505
_cell_angle_alpha 90.00
_cell_angle_beta 90.00
_cell_angle_gamma 120.00
loop_
_atom_site_label
_atom_site_type_symbol
_atom_site_fract_x
_atom_site_fract_y
_atom_site_fract_z
Sr1 Sr 0.0000 0.3057 0.0000
Sr2 Sr 0.0000 0.6409 0.5000
P1 P 0.0000 0.0000 0.3131
P2 P 0.3333 0.6667 0.1919
```

For LiCuS, DFT lattice parameters and positions (PBE) gives the calculated powder diffractogram in this record (Cu Kα (weighted mean of Kα1 and Kα2)).
Kinematic intensities with the Lorentz-polarization factor, no thermal factor.

Most intense lines, 10 to 90 degrees two-theta, low angle first:
d [Å]	two_theta	I_rel
5.319	16.7	95
3.390	26.3	34
3.141	28.4	40
2.659	33.7	100
2.638	34.0	32
2.632	34.1	16
2.185	41.3	33
1.991	45.5	15
1.695	54.1	32
1.519	61.0	17

```
data_LiCuS
_symmetry_space_group_name_H-M 'C 1 c 1'
_symmetry_Int_Tables_number 9
_cell_length_a 8.5738
_cell_length_b 8.6080
_cell_length_c 6.9675
_cell_angle_alpha 90.00
_cell_angle_beta 127.80
_cell_angle_gamma 90.00
loop_
_symmetry_equiv_pos_as_xyz
'x,y,z'
'x,-y,z+1/2'
'x+1/2,y+1/2,z'
'x+1/2,-y+1/2,z+1/2'
loop_
_atom_site_label
_atom_site_type_symbol
_atom_site_fract_x
_atom_site_fract_y
_atom_site_fract_z
Li1 Li 0.0000 0.1222 0.0000
Li2 Li 0.2148 0.3746 0.9380
Cu1 Cu 0.1092 0.2476 0.4689
Cu2 Cu 0.3507 0.0007 0.9628
S1 S 0.3577 0.1474 0.2201
S2 S 0.3577 0.3978 0.7193
```

For Ge3Sb, DFT lattice parameters and positions (PBE) gives the calculated powder diffractogram in this record (Cu Kα (weighted mean of Kα1 and Kα2)).
Kinematic intensities with the Lorentz-polarization factor, no thermal factor.

Most intense lines, 10 to 90 degrees two-theta, low angle first:
d [Å]	two_theta	I_rel
4.060	21.9	4
3.516	25.3	2
2.486	36.1	100
2.120	42.6	2
1.758	52.0	17
1.613	57.1	1
1.572	58.7	1
1.435	65.0	35
1.243	76.7	11
1.112	87.8	16

```
data_Ge3Sb
_symmetry_space_group_name_H-M 'F m -3 m'
_symmetry_Int_Tables_number 225
_symmetry_space_group_name_Hall '-F 4 2 3'
_cell_length_a 7.0314
_cell_length_b 7.0314
_cell_length_c 7.0314
_cell_angle_alpha 90.00
_cell_angle_beta 90.00
_cell_angle_gamma 90.00
loop_
_atom_site_label
_atom_site_type_symbol
_atom_site_fract_x
_atom_site_fract_y
_atom_site_fract_z
Ge1 Ge 0.0000 0.0000 0.0000
Ge2 Ge 0.2500 0.2500 0.2500
Sb1 Sb 0.0000 0.0000 0.5000
```

For K2LiTaCl6, DFT lattice parameters and positions (PBE) gives the calculated powder diffractogram in this record (Cu Kα (weighted mean of Kα1 and Kα2)).
Kinematic intensities with the Lorentz-polarization factor, no thermal factor.

Most intense lines, 10 to 90 degrees two-theta, low angle first:
d [Å]	two_theta	I_rel
5.822	15.2	100
5.042	17.6	53
3.565	25.0	55
3.040	29.4	58
2.521	35.6	68
2.313	38.9	25
2.255	40.0	26
2.058	44.0	25
1.941	46.8	24
1.783	51.2	44

```
data_K2LiTaCl6
_symmetry_space_group_name_H-M 'F m -3 m'
_symmetry_Int_Tables_number 225
_symmetry_space_group_name_Hall '-F 4 2 3'
_cell_length_a 10.0838
_cell_length_b 10.0838
_cell_length_c 10.0838
_cell_angle_alpha 90.00
_cell_angle_beta 90.00
_cell_angle_gamma 90.00
loop_
_atom_site_label
_atom_site_type_symbol
_atom_site_fract_x
_atom_site_fract_y
_atom_site_fract_z
K1 K 0.2500 0.2500 0.2500
Li1 Li 0.0000 0.0000 0.0000
Ta1 Ta 0.0000 0.0000 0.5000
Cl1 Cl 0.0000 0.0000 0.2544
```

For EuSiPt2, DFT lattice parameters and positions (PBE) gives the calculated powder diffractogram in this record (Cu Kα (weighted mean of Kα1 and Kα2)).
Kinematic intensities with the Lorentz-polarization factor, no thermal factor.

Most intense lines, 10 to 90 degrees two-theta, low angle first:
d [Å]	two_theta	I_rel
3.422	26.0	8
3.042	29.4	17
2.646	33.9	100
2.458	36.6	15
2.086	43.4	17
2.069	43.7	17
1.950	46.6	11
1.469	63.3	11
1.288	73.5	11
1.280	74.0	11

```
data_EuSiPt2
_symmetry_space_group_name_H-M 'C m c m'
_symmetry_Int_Tables_number 63
_symmetry_space_group_name_Hall '-C 2c 2'
_cell_length_a 4.1386
_cell_length_b 18.2541
_cell_length_c 4.1722
_cell_angle_alpha 90.00
_cell_angle_beta 90.00
_cell_angle_gamma 90.00
loop_
_atom_site_label
_atom_site_type_symbol
_atom_site_fract_x
_atom_site_fract_y
_atom_site_fract_z
Eu1 Eu 0.0000 0.0988 0.2500
Si1 Si 0.0000 0.3240 0.2500
Pt1 Pt 0.0000 0.2489 0.7500
Pt2 Pt 0.0000 0.4529 0.2500
```

For Np3OF12, DFT lattice parameters and positions (PBE) gives the calculated powder diffractogram in this record (Cu Kα (weighted mean of Kα1 and Kα2)).
Kinematic intensities with the Lorentz-polarization factor, no thermal factor.

Most intense lines, 10 to 90 degrees two-theta, low angle first:
d [Å]	two_theta	I_rel
6.903	12.8	25
4.467	19.9	19
4.217	21.1	100
4.063	21.9	46
3.686	24.1	85
3.521	25.3	20
2.841	31.5	39
2.013	45.0	40
1.989	45.6	26
1.920	47.3	19

```
data_Np3OF12
_symmetry_space_group_name_H-M 'C 1 m 1'
_symmetry_Int_Tables_number 8
_cell_length_a 11.9077
_cell_length_b 12.0213
_cell_length_c 8.4934
_cell_angle_alpha 90.00
_cell_angle_beta 128.20
_cell_angle_gamma 90.00
loop_
_symmetry_equiv_pos_as_xyz
'x,y,z'
'x,-y,z'
'x+1/2,y+1/2,z'
'x+1/2,-y+1/2,z'
loop_
_atom_site_label
_atom_site_type_symbol
_atom_site_fract_x
_atom_site_fract_y
_atom_site_fract_z
Np1 Np 0.0000 0.0000 0.0000
Np2 Np 0.1138 0.3321 0.5472
Np3 Np 0.2511 0.3178 0.1580
Np4 Np 0.3488 0.0000 0.6758
O1 O 0.0808 0.0000 0.8783
O2 O 0.2890 0.0000 0.8244
F1 F 0.0366 0.3901 0.9387
F2 F 0.0691 0.5000 0.3974
F3 F 0.1252 0.1694 0.0967
F4 F 0.1654 0.5000 0.7471
F5 F 0.1698 0.0000 0.3374
F6 F 0.1770 0.3295 0.3417
F7 F 0.1796 0.2751 0.8447
F8 F 0.2230 0.1718 0.5911
F9 F 0.2834 0.5000 0.2412
F10 F 0.3419 0.3805 0.7395
F11 F 0.4025 0.1783 0.2231
F12 F 0.4107 0.3936 0.1131
F13 F 0.4230 0.1084 0.5479
F14 F 0.4546 0.3145 0.4703
```

For Nb3B3C, DFT lattice parameters and positions (PBE) gives the calculated powder diffractogram in this record (Cu Kα (weighted mean of Kα1 and Kα2)).
Kinematic intensities with the Lorentz-polarization factor, no thermal factor.

Most intense lines, 10 to 90 degrees two-theta, low angle first:
d [Å]	two_theta	I_rel
3.260	27.4	35
2.632	34.1	100
2.569	34.9	27
2.408	37.3	35
2.295	39.3	29
2.262	39.8	46
2.209	40.9	22
2.112	42.8	40
1.469	63.3	22
1.392	67.2	27

```
data_Nb3B3C
_symmetry_space_group_name_H-M 'C m c m'
_symmetry_Int_Tables_number 63
_symmetry_space_group_name_Hall '-C 2c 2'
_cell_length_a 3.2811
_cell_length_b 28.8969
_cell_length_c 3.1422
_cell_angle_alpha 90.00
_cell_angle_beta 90.00
_cell_angle_gamma 90.00
loop_
_atom_site_label
_atom_site_type_symbol
_atom_site_fract_x
_atom_site_fract_y
_atom_site_fract_z
Nb1 Nb 0.0000 0.0468 0.2500
Nb2 Nb 0.0000 0.1379 0.7500
Nb3 Nb 0.0000 0.2874 0.7500
B1 B 0.0000 0.3879 0.7500
B2 B 0.0000 0.4210 0.2500
B3 B 0.0000 0.4846 0.2500
C1 C 0.0000 0.2122 0.7500
```

For CaSiO3, DFT lattice parameters and positions (PBE) gives the calculated powder diffractogram in this record (Cu Kα (weighted mean of Kα1 and Kα2)).
Kinematic intensities with the Lorentz-polarization factor, no thermal factor.

Most intense lines, 10 to 90 degrees two-theta, low angle first:
d [Å]	two_theta	I_rel
8.189	10.8	88
7.985	11.1	20
6.066	14.6	13
5.769	15.4	27
4.943	17.9	13
4.547	19.5	100
4.304	20.6	14
3.872	23.0	27
2.990	29.9	18
1.994	45.5	18

```
data_CaSiO3
_symmetry_space_group_name_H-M 'P 1 21/c 1'
_symmetry_Int_Tables_number 14
_cell_length_a 8.3632
_cell_length_b 9.5800
_cell_length_c 14.7600
_cell_angle_alpha 90.00
_cell_angle_beta 101.71
_cell_angle_gamma 90.00
loop_
_symmetry_equiv_pos_as_xyz
'x,y,z'
'-x,-y,-z'
'-x,y+1/2,-z+1/2'
'x,-y+1/2,z+1/2'
loop_
_atom_site_label
_atom_site_type_symbol
_atom_site_fract_x
_atom_site_fract_y
_atom_site_fract_z
Ca1 Ca 0.0356 0.1154 0.1908
Ca2 Ca 0.2936 0.6250 0.5010
Ca3 Ca 0.3548 0.1230 0.5036
Si1 Si 0.3015 0.6286 0.3116
Si2 Si 0.3239 0.1367 0.1388
Si3 Si 0.5001 0.1345 0.3409
O1 O 0.1936 0.7464 0.8454
O2 O 0.2013 0.0070 0.8367
O3 O 0.2121 0.2352 0.5916
O4 O 0.2153 0.5039 0.6108
O5 O 0.3353 0.6375 0.2057
O6 O 0.3406 0.1547 0.2528
O7 O 0.4726 0.5074 0.8948
O8 O 0.4898 0.6284 0.3850
O9 O 0.4949 0.7434 0.5819
```